AcGa2PRu2: computed XRD peak list (Cu Kα (λ = 1.5418 Å)), based on a DFT-relaxed cell (PBE, Alexandria).

Crystal structure
Cell: 4.465 4.465 5.926 Å, 90.00 90.00 90.00°
Space group P4/mmm (No. 123)
Symmetry-distinct sites (fractional):
1 Ac 0.000 0.000 0.000 x1
2 Ga 0.500 0.500 0.235 x2
3 P 0.000 0.000 0.500 x1
4 Ru 0.000 0.500 0.500 x2

Main lines, sorted by position (5 to 70 degrees two-theta):
2θ 24.97, rel. 33.6, (1 0 1); 2θ 32.12, rel. 100.0, (1 1 1); 2θ 36.39, rel. 66.7, (1 0 2); 2θ 40.40, rel. 58.2, (2 0 0); 2θ 55.49, rel. 39.4, (2 1 2); 2θ 68.29, rel. 23.0, (3 1 1)

=====

CdBF6: computed XRD peak list (Cu Kα (λ = 1.5418 Å)), based on a DFT-relaxed cell (PBE, Alexandria).

Crystal structure
Cell: 7.714 7.714 7.714 Å, 90.00 90.00 90.00°
Space group Fm-3m (No. 225)
Symmetry-distinct sites (fractional):
1 Cd 0.000 0.000 0.000 x4
2 B 0.000 0.000 0.500 x4
3 F 0.000 0.000 0.292 x24

Main lines, sorted by position (5 to 70 degrees two-theta):
2θ 19.94, rel. 33.0, (1 1 1); 2θ 23.06, rel. 100.0, (2 0 0); 2θ 32.84, rel. 24.1, (2 2 0); 2θ 38.71, rel. 45.4, (3 1 1); 2θ 51.65, rel. 32.5, (3 3 1); 2θ 53.09, rel. 27.8, (4 2 0)

=====

ReIBr6: computed XRD peak list (Cu Kα (λ = 1.5418 Å)), based on a DFT-relaxed cell (PBE, Alexandria).

Crystal structure
Cell: 6.138 6.502 8.578 Å, 81.12 70.76 61.86°
Space group P-1 (No. 2)
Symmetry-distinct sites (fractional):
1 Re 0.000 0.000 0.000 x1
2 I 0.500 0.000 0.000 x1
3 Br 0.053 0.702 0.211 x2
4 Br 0.246 0.701 0.789 x2
5 Br 0.347 0.001 0.333 x2

Main lines, sorted by position (5 to 70 degrees two-theta):
2θ 10.92, rel. 100.0, (0 0 1); 2θ 15.45, rel. 71.1, (0 1 0); 2θ 26.96, rel. 26.6, (0 1 2); 2θ 29.11, rel. 71.0, (2 1 1); 2θ 33.13, rel. 31.1, (2 0 1); 2θ 36.80, rel. 34.4, (0 1 3)